No. 1
La5Sm2Cd: calculated X-ray powder pattern (Cu Kα, 1.54184 Å), based on a crystal structure in Alexandria, relaxed with GGA-PBE.
Lines closer than 0.1° are merged.

Structural model:
Lattice parameters (Å, degrees): 7.274 10.174 7.274 90.00 90.00 90.00
Space group Imm2 (No. 44)
One atom of each set of equivalent atoms:
La1 0.000 0.000 0.000
La2 0.250 0.250 0.250
Sm1 0.000 0.000 0.501
Sm2 0.000 0.500 0.499
Cd1 0.000 0.500 0.001

Main lines, by angle (2θ = 10–80°):
Position (°2θ)	d (Å)	I (rel.)
30.21	2.959	100
34.89	2.572	34
35.29	2.544	17
50.16	1.819	12
50.46	1.808	24
59.68	1.549	29
60.21	1.537	14
62.82	1.479	12
73.67	1.286	4
74.63	1.272	2

No. 2
Cs2ScZnF6: calculated X-ray powder pattern (Cu Kα, 1.54184 Å), based on a crystal structure in Alexandria, relaxed with GGA-PBE.
Lines closer than 0.1° are merged.

Structural model:
Lattice parameters (Å, degrees): 6.444 6.444 9.080 90.00 90.00 90.00
Space group I4/mmm (No. 139)
One atom of each set of equivalent atoms:
Cs1 0.000 0.500 0.250
Sc1 0.000 0.000 0.000
Zn1 0.000 0.000 0.500
F1 0.000 0.000 0.226
F2 0.225 0.225 0.000

Main lines, by angle (2θ = 10–80°):
Position (°2θ)	d (Å)	I (rel.)
19.51	4.551	10
27.72	3.218	100
34.12	2.627	22
39.56	2.278	26
39.71	2.270	13
49.03	1.858	39
57.18	1.611	8
57.30	1.608	16
64.70	1.441	13
78.61	1.217	14

No. 3
Pm2AlBiO6: calculated X-ray powder pattern (Cu Kα, 1.54184 Å), based on a crystal structure in Alexandria, relaxed with GGA-PBE.
Lines closer than 0.1° are merged.

Structural model:
Lattice parameters (Å, degrees): 5.374 5.374 5.280 90.00 90.00 90.00
Space group P4mm (No. 99)
One atom of each set of equivalent atoms:
Pm1 0.000 0.500 0.000
Al1 0.000 0.000 0.608
Bi1 0.500 0.500 0.559
O1 0.000 0.000 0.266
O2 0.230 0.230 0.743
O3 0.500 0.500 0.121

Main lines, by angle (2θ = 10–80°):
Position (°2θ)	d (Å)	I (rel.)
16.49	5.374	21
16.79	5.280	10
23.62	3.767	17
28.95	3.084	100
33.34	2.687	34
33.95	2.640	11
47.87	1.900	19
48.33	1.883	27
56.92	1.618	31
57.72	1.597	11

No. 4
AcP3Rh5: calculated X-ray powder pattern (Cu Kα, 1.54184 Å), based on a crystal structure in Alexandria, relaxed with GGA-PBE.
Lines closer than 0.1° are merged.

Structural model:
Lattice parameters (Å, degrees): 3.936 12.186 12.362 90.00 90.00 90.00
Space group Cmcm (No. 63)
One atom of each set of equivalent atoms:
Ac1 0.000 0.156 0.250
P1 0.000 0.114 0.750
P2 0.000 0.389 0.541
Rh1 0.000 0.000 0.000
Rh2 0.000 0.209 0.575
Rh3 0.000 0.439 0.141

Main lines, by angle (2θ = 10–80°):
Position (°2θ)	d (Å)	I (rel.)
26.11	3.413	62
31.65	2.827	46
32.30	2.772	100
32.49	2.756	40
32.77	2.733	36
34.90	2.571	56
37.74	2.384	80
43.68	2.072	34
46.15	1.967	69
55.16	1.665	32

No. 5
K3Pa2S5Br2: calculated X-ray powder pattern (Cu Kα, 1.54184 Å), based on a crystal structure in Alexandria, relaxed with GGA-PBE.
Lines closer than 0.1° are merged.

Structural model:
Lattice parameters (Å, degrees): 5.292 5.292 27.495 90.00 90.00 90.00
Space group I4/mmm (No. 139)
One atom of each set of equivalent atoms:
K1 0.000 0.000 0.000
K2 0.000 0.000 0.175
Pa1 0.000 0.000 0.405
S1 0.000 0.000 0.500
S2 0.000 0.500 0.098
Br1 0.000 0.000 0.298

Main lines, by angle (2θ = 10–80°):
Position (°2θ)	d (Å)	I (rel.)
12.88	6.874	37
17.06	5.197	100
19.37	4.583	27
23.33	3.813	41
23.78	3.742	67
28.30	3.154	31
33.88	2.646	78
38.17	2.358	28
47.70	1.907	32
48.67	1.871	36

No. 6
Tb2Ta2ZnRh5: calculated X-ray powder pattern (Cu Kα, 1.54184 Å), based on a crystal structure in Alexandria, relaxed with GGA-PBE.
Lines closer than 0.1° are merged.

Structural model:
Lattice parameters (Å, degrees): 10.755 10.755 3.146 90.00 90.00 90.00
Space group P4/mbm (No. 127)
One atom of each set of equivalent atoms:
Tb1 0.168 0.332 0.000
Ta1 0.140 0.640 0.000
Zn1 0.000 0.000 0.000
Rh1 0.000 0.500 0.500
Rh2 0.058 0.810 0.500

Main lines, by angle (2θ = 10–80°):
Position (°2θ)	d (Å)	I (rel.)
32.99	2.715	12
34.38	2.609	26
35.41	2.535	46
39.00	2.309	100
41.73	2.165	23
44.32	2.044	23
50.94	1.793	12
58.69	1.573	13
69.80	1.347	12
70.44	1.337	16

No. 7
MnCdMo: calculated X-ray powder pattern (Cu Kα, 1.54184 Å), based on a crystal structure in Alexandria, relaxed with GGA-PBE.
Lines closer than 0.1° are merged.

Structural model:
Lattice parameters (Å, degrees): 2.757 4.837 7.405 79.43 84.14 81.91
Space group P-1 (No. 2)
One atom of each set of equivalent atoms:
Mn1 0.167 0.163 0.394
Cd1 0.261 0.767 0.935
Mo1 0.331 0.337 0.661

Main lines, by angle (2θ = 10–80°):
Position (°2θ)	d (Å)	I (rel.)
33.65	2.664	60
37.17	2.419	53
38.03	2.366	58
38.15	2.359	64
38.81	2.320	56
40.07	2.250	100
40.39	2.233	87
42.02	2.150	60
42.45	2.130	58
49.58	1.839	37

No. 8
CaCu2HgBi: calculated X-ray powder pattern (Cu Kα, 1.54184 Å), based on a crystal structure in Alexandria, relaxed with GGA-PBE.
Lines closer than 0.1° are merged.

Structural model:
Lattice parameters (Å, degrees): 4.902 4.902 5.625 90.00 90.00 90.00
Space group P4/mmm (No. 123)
One atom of each set of equivalent atoms:
Ca1 0.000 0.000 0.000
Cu1 0.000 0.500 0.500
Hg1 0.000 0.000 0.500
Bi1 0.500 0.500 0.000

Main lines, by angle (2θ = 10–80°):
Position (°2θ)	d (Å)	I (rel.)
24.08	3.696	100
25.70	3.466	31
30.29	2.951	16
31.82	2.813	33
36.66	2.451	45
41.34	2.184	18
44.35	2.043	42
49.31	1.848	39
52.82	1.733	16
63.00	1.476	19

What did the second record say?
Cs2ScZnF6: calculated X-ray powder pattern (Cu Kα, 1.54184 Å), based on a crystal structure in Alexandria, relaxed with GGA-PBE.
Lines closer than 0.1° are merged.

Structural model:
Lattice parameters (Å, degrees): 6.444 6.444 9.080 90.00 90.00 90.00
Space group I4/mmm (No. 139)
One atom of each set of equivalent atoms:
Cs1 0.000 0.500 0.250
Sc1 0.000 0.000 0.000
Zn1 0.000 0.000 0.500
F1 0.000 0.000 0.226
F2 0.225 0.225 0.000

Main lines, by angle (2θ = 10–80°):
Position (°2θ)	d (Å)	I (rel.)
19.51	4.551	10
27.72	3.218	100
34.12	2.627	22
39.56	2.278	26
39.71	2.270	13
49.03	1.858	39
57.18	1.611	8
57.30	1.608	16
64.70	1.441	13
78.61	1.217	14